The following is a theoretical PXRD pattern of Nd2In3Hg. It was derived from a structure optimized by DFT (PBE), using λ = 1.5418 Å (Cu Kα).

Structural model:
```
Nd2In3Hg
1.0
3.751 0.000 0.000
0.000 4.981 0.000
0.000 0.000 8.636
Nd In Hg
2 3 1
Direct
0.000 0.000 0.000 Nd
0.000 0.500 0.498 Nd
0.500 0.000 0.662 In
0.500 0.500 0.168 In
0.500 0.500 0.832 In
0.500 0.000 0.331 Hg
```

Principal peaks in the range 5 to 70 degrees two-theta, low angle first:
| 2θ/deg | Rel. int. |
| --- | --- |
| 10.24 | 5 |
| 17.81 | 1 |
| 20.58 | 2 |
| 23.72 | 7 |
| 31.60 | 100 |
| 36.04 | 77 |
| 43.61 | 9 |
| 48.54 | 11 |
| 48.68 | 30 |
| 61.92 | 31 |
| 62.04 | 29 |
| 64.80 | 14 |

The following is a theoretical PXRD pattern of Rb2MgZnP2. It was derived from a structure optimized by DFT (PBE), using λ = 1.5418 Å (Cu Kα).

Structural model:
```
Rb2MgZnP2
1.0
-3.093 8.183 3.116
3.093 -8.183 3.116
3.093 8.183 -3.116
Rb Mg Zn P
4 2 2 4
Direct
0.173 0.244 0.417 Rb
0.327 0.744 0.071 Rb
0.673 0.256 0.929 Rb
0.827 0.756 0.583 Rb
0.250 0.750 0.500 Mg
0.750 0.250 0.500 Mg
0.250 0.250 0.000 Zn
0.750 0.750 0.000 Zn
0.085 0.760 0.845 P
0.415 0.260 0.675 P
0.585 0.740 0.325 P
0.915 0.240 0.155 P
```

Principal peaks in the range 5 to 70 degrees two-theta, low angle first:
| 2θ/deg | Rel. int. |
| --- | --- |
| 22.99 | 31 |
| 29.85 | 100 |
| 30.70 | 28 |
| 30.90 | 29 |
| 32.83 | 18 |
| 36.24 | 27 |
| 36.41 | 23 |
| 41.12 | 48 |
| 49.13 | 15 |
| 51.50 | 20 |
| 51.76 | 20 |
| 53.59 | 31 |